No. 1
Diffraction record for PaTiPbO6. The powder XRD pattern is computed, not measured: it uses a crystal structure in Alexandria, relaxed with GGA-PBE and CuKα.
No peak broadening, texture or thermal motion is included.

Structural model:
Cell lengths 5.5909, 5.5909, 9.7509 Å; angles 90.00, 90.00, 120.00 degrees
Space group P-31c (No. 163)
Asymmetric unit:
Pa1 0.3333 0.6667 0.2500 (multiplicity 2)
Ti1 0.3333 0.6667 0.7500 (multiplicity 2)
Pb1 0.0000 0.0000 0.0000 (multiplicity 2)
O1 0.0246 0.3760 0.6405 (multiplicity 12)

Top 10 peaks for 2θ from 5° to 70°, sorted by position:
2theta, Rel. int.
20.48, 31
25.93, 100
32.02, 46
33.20, 11
41.65, 28
49.62, 40
53.48, 28
57.06, 15
60.05, 10
69.90, 10

No. 2
Diffraction record for RbThSe4. The powder XRD pattern is computed, not measured: it uses a crystal structure in Alexandria, relaxed with GGA-PBE and CuKα.
No peak broadening, texture or thermal motion is included.

Structural model:
Cell lengths 9.206, 9.908, 7.909 Å; angles 90.00, 90.00, 90.00 degrees
Space group Cccm (No. 66)
Asymmetric unit:
Rb1 0.000 0.000 0.250 (multiplicity 4)
Th1 0.000 0.500 0.250 (multiplicity 4)
Se1 0.116 0.274 0.000 (multiplicity 8)
Se2 0.205 0.390 0.500 (multiplicity 8)

Top 10 peaks for 2θ from 5° to 70°, sorted by position:
2theta, Rel. int.
13.13, 100
26.43, 41
28.89, 87
29.79, 78
30.91, 41
34.97, 69
41.39, 35
43.35, 34
59.61, 30
63.49, 27

No. 3
Diffraction record for K2PuBr2Cl4. The powder XRD pattern is computed, not measured: it uses a crystal structure in Alexandria, relaxed with GGA-PBE and CuKα.
No peak broadening, texture or thermal motion is included.

Structural model:
Cell lengths 7.424, 7.424, 10.957 Å; angles 90.00, 90.00, 90.00 degrees
Space group I4/mmm (No. 139)
Asymmetric unit:
K1 0.000 0.500 0.250 (multiplicity 4)
Pu1 0.000 0.000 0.000 (multiplicity 2)
Br1 0.000 0.000 0.253 (multiplicity 4)
Cl1 0.246 0.246 0.000 (multiplicity 8)

Top 10 peaks for 2θ from 5° to 70°, sorted by position:
2theta, Rel. int.
14.41, 100
16.89, 64
23.97, 32
27.21, 26
28.08, 40
32.69, 26
34.16, 45
36.58, 22
37.02, 19
48.00, 33

No. 4
Diffraction record for Tl2Bi2S5. The powder XRD pattern is computed, not measured: it uses a crystal structure in Alexandria, relaxed with GGA-PBE and CuKα.
No peak broadening, texture or thermal motion is included.

Structural model:
Cell lengths 5.520, 7.045, 8.702 Å; angles 113.84, 90.15, 112.78 degrees
Space group P-1 (No. 2)
Asymmetric unit:
Tl1 0.091 0.191 0.273 (multiplicity 2)
Bi1 0.360 0.720 0.146 (multiplicity 2)
S1 0.164 0.328 0.840 (multiplicity 2)
S2 0.438 0.873 0.544 (multiplicity 2)
S3 0.500 0.000 0.000 (multiplicity 1)

Top 10 peaks for 2θ from 5° to 70°, sorted by position:
2theta, Rel. int.
11.32, 28
19.22, 29
21.08, 67
22.75, 29
22.87, 100
26.13, 60
26.25, 54
30.64, 35
31.62, 41
32.44, 61

No. 5
Diffraction record for KSrBe2F8. The powder XRD pattern is computed, not measured: it uses a crystal structure in Alexandria, relaxed with GGA-PBE and CuKα.
No peak broadening, texture or thermal motion is included.

Structural model:
Cell lengths 5.7580, 5.7580, 17.5170 Å; angles 90.00, 90.00, 120.00 degrees
Space group R-3 (No. 148, hexagonal axes)
Asymmetric unit:
K1 0.0000 0.0000 0.0000 (multiplicity 3)
Sr1 0.0000 0.0000 0.5000 (multiplicity 3)
Be1 0.0000 0.0000 0.2603 (multiplicity 6)
F1 0.0000 0.0000 0.3493 (multiplicity 6)
F2 0.0234 0.7553 0.7681 (multiplicity 18)

Top 10 peaks for 2θ from 5° to 70°, sorted by position:
2theta, Rel. int.
18.50, 46
20.49, 40
27.10, 100
31.06, 68
34.74, 30
37.51, 46
44.18, 90
45.23, 37
49.47, 33
55.29, 43

No. 6
Diffraction record for Pm2SmTh. The powder XRD pattern is computed, not measured: it uses a crystal structure in Alexandria, relaxed with GGA-PBE and CuKα.
No peak broadening, texture or thermal motion is included.

Structural model:
Cell lengths 3.6395, 3.6395, 35.2572 Å; angles 90.00, 90.00, 120.00 degrees
Space group R3m (No. 160, hexagonal axes)
Asymmetric unit:
Pm1 0.0000 0.0000 0.0000 (multiplicity 3)
Pm2 0.0000 0.0000 0.1708 (multiplicity 3)
Sm1 0.0000 0.0000 0.4190 (multiplicity 3)
Th1 0.0000 0.0000 0.5855 (multiplicity 3)

Top 10 peaks for 2θ from 5° to 70°, sorted by position:
2theta, Rel. int.
7.52, 16
28.77, 37
30.42, 47
31.08, 100
33.54, 76
38.30, 22
50.13, 36
52.84, 24
59.78, 42
60.16, 17

No. 7
Diffraction record for In2Sb2S7. The powder XRD pattern is computed, not measured: it uses a crystal structure in Alexandria, relaxed with GGA-PBE and CuKα.
No peak broadening, texture or thermal motion is included.

Structural model:
Cell lengths 8.260, 11.639, 6.541 Å; angles 90.00, 96.29, 90.00 degrees
Space group C2/m (No. 12)
Asymmetric unit:
In1 0.228 0.000 0.112 (multiplicity 4)
Sb1 0.000 0.190 0.500 (multiplicity 4)
S1 0.000 0.500 0.000 (multiplicity 2)
S2 0.073 0.000 0.742 (multiplicity 4)
S3 0.249 0.307 0.715 (multiplicity 8)

Top 10 peaks for 2θ from 5° to 70°, sorted by position:
2theta, Rel. int.
13.20, 37
19.85, 47
20.48, 100
24.34, 26
29.47, 21
35.01, 30
38.63, 40
40.31, 35
43.11, 20
52.52, 21

No. 8
Diffraction record for Ba2Ge2Ru2N. The powder XRD pattern is computed, not measured: it uses a crystal structure in Alexandria, relaxed with GGA-PBE and CuKα.
No peak broadening, texture or thermal motion is included.

Structural model:
Cell lengths 11.882, 4.225, 7.794 Å; angles 90.00, 124.57, 90.00 degrees
Space group C2/m (No. 12)
Asymmetric unit:
Ba1 0.058 0.000 0.311 (multiplicity 4)
Ge1 0.197 0.500 0.763 (multiplicity 4)
Ru1 0.178 0.500 0.064 (multiplicity 4)
N1 0.000 0.500 0.000 (multiplicity 2)

Top 10 peaks for 2θ from 5° to 70°, sorted by position:
2theta, Rel. int.
28.53, 45
29.46, 100
30.91, 78
30.99, 60
31.95, 95
34.75, 100
36.93, 40
42.80, 58
53.35, 45
53.74, 41

No. 9
Diffraction record for NaCd3Hg6Pb. The powder XRD pattern is computed, not measured: it uses a crystal structure in Alexandria, relaxed with GGA-PBE and CuKα.
No peak broadening, texture or thermal motion is included.

Structural model:
Cell lengths 10.5041, 10.5041, 9.4369 Å; angles 90.00, 90.00, 120.00 degrees
Space group R3 (No. 146, hexagonal axes)
Asymmetric unit:
Na1 0.0000 0.0000 0.0000 (multiplicity 3)
Cd1 0.0640 0.3371 0.5358 (multiplicity 9)
Hg1 0.0531 0.7833 0.7955 (multiplicity 9)
Hg2 0.0830 0.8807 0.2768 (multiplicity 9)
Pb1 0.0000 0.0000 0.5882 (multiplicity 3)

Top 10 peaks for 2θ from 5° to 70°, sorted by position:
2theta, Rel. int.
21.21, 26
27.61, 23
29.46, 35
32.21, 100
33.20, 31
36.88, 40
39.46, 17
40.55, 31
40.81, 27
46.69, 21

No. 10
Diffraction record for AlCdAg2Se4. The powder XRD pattern is computed, not measured: it uses a crystal structure in Alexandria, relaxed with GGA-PBE and CuKα.
No peak broadening, texture or thermal motion is included.

Structural model:
Cell lengths 6.058, 6.058, 11.693 Å; angles 90.00, 90.00, 90.00 degrees
Space group I-4 (No. 82)
Asymmetric unit:
Al1 0.000 0.000 0.000 (multiplicity 2)
Cd1 0.000 0.500 0.250 (multiplicity 2)
Ag1 0.000 0.000 0.500 (multiplicity 2)
Ag2 0.000 0.500 0.750 (multiplicity 2)
Se1 0.231 0.237 0.884 (multiplicity 8)

Top 10 peaks for 2θ from 5° to 70°, sorted by position:
2theta, Rel. int.
16.48, 4
25.78, 100
33.97, 6
42.19, 25
43.00, 48
50.11, 30
51.52, 14
61.20, 8
67.53, 6
68.72, 12

No. 11
Diffraction record for CrCo2Ru. The powder XRD pattern is computed, not measured: it uses a crystal structure in Alexandria, relaxed with GGA-PBE and CuKα.
No peak broadening, texture or thermal motion is included.

Structural model:
Cell lengths 5.033, 7.251, 2.551 Å; angles 90.00, 90.00, 90.00 degrees
Space group Cmmm (No. 65)
Asymmetric unit:
Cr1 0.000 0.000 0.000 (multiplicity 2)
Co1 0.250 0.250 0.500 (multiplicity 4)
Ru1 0.000 0.500 0.000 (multiplicity 2)

Top 10 peaks for 2θ from 5° to 70°, sorted by position:
2theta, Rel. int.
21.49, 19
24.55, 3
41.44, 4
41.60, 7
43.37, 100
43.79, 97
50.33, 32
50.98, 61
55.46, 3
68.14, 2